Computed XRD peak list
Compound: Tb7PrHo2
Radiation: Cu Kα (weighted mean of Kα1 and Kα2)
Structure: DFT lattice parameters and positions (PBE)

Peak list (6 most intense, 2θ = 5–70°, sorted by position)
2θ 30.71, d = 2.912 Å, rel. 1000, (2 0 1)
2θ 35.60, d = 2.522 Å, rel. 506, (2 2 0)
2θ 51.24, d = 1.783 Å, rel. 361, (3 2 3)
2θ 60.87, d = 1.522 Å, rel. 72, (0 4 3)
2θ 60.94, d = 1.520 Å, rel. 357, (4 2 1)
2θ 63.97, d = 1.455 Å, rel. 92, (4 0 2)

a b c (Å): 6.172 7.137 7.971
angles (deg): 77.10 75.05 73.28
Atoms (fractional coordinates):
Tb: 0.000 0.000 0.000
Tb: 0.200 0.801 0.599
Tb: 0.400 0.600 0.202
Tb: 0.401 0.099 0.201
Tb: 0.599 0.901 0.799
Tb: 0.600 0.400 0.798
Tb: 0.800 0.199 0.401
Pr: 0.000 0.500 0.000
Ho: 0.200 0.300 0.599
Ho: 0.800 0.700 0.401